(1)
Theoretical X-ray diffraction stick pattern
Compound: Gd2Er3Lu3
Radiation: CuKα
Structure: a PBE-relaxed structure
Kinematic intensities with the Lorentz-polarization factor, no thermal factor.

Structure:
```
Gd2Er3Lu3
1.0
7.1212 0.0000 0.0000
-3.5606 6.1671 0.0000
0.0000 0.0000 5.5488
Gd Er Lu
2 3 3
Cartesian
0.0000 0.0000 0.0000
0.0000 4.1114 2.7744
3.5606 0.0104 0.0000
1.7893 3.0784 0.0000
5.3319 3.0784 0.0000
1.7909 1.0340 2.7744
5.3303 1.0340 2.7744
3.5606 4.0992 2.7744
```

Largest 10 diffraction maxima, low angle first, 2θ = 10–90°:
- 2θ 29.0, rel. 24
- 2θ 32.3, rel. 24
- 2θ 33.2, rel. 100
- 2θ 43.9, rel. 16
- 2θ 51.3, rel. 20
- 2θ 58.2, rel. 20
- 2θ 61.9, rel. 22
- 2θ 62.5, rel. 16
- 2θ 85.0, rel. 14
- 2θ 89.6, rel. 9

---

(2)
Theoretical X-ray diffraction stick pattern
Compound: Na2Mo3Au2
Radiation: CuKα
Structure: a PBE-relaxed structure
Kinematic intensities with the Lorentz-polarization factor, no thermal factor.

Structure:
```
Na2Mo3Au2
1.0
2.2476 1.2977 7.2137
-2.2476 1.2977 7.2137
0.0000 -2.5953 7.2137
Na Mo Au
2 3 2
Cartesian
0.0000 0.0000 0.0000
0.0000 0.0000 9.1288
0.0000 0.0000 5.6220
0.0000 0.0000 12.3346
0.0000 0.0000 18.6766
0.0000 0.0000 2.9394
0.0000 0.0000 15.2289
```

Largest 10 diffraction maxima, low angle first, 2θ = 10–90°:
- 2θ 24.3, rel. 65
- 2θ 30.9, rel. 24
- 2θ 37.1, rel. 100
- 2θ 40.1, rel. 94
- 2θ 47.5, rel. 11
- 2θ 55.8, rel. 30
- 2θ 56.0, rel. 21
- 2θ 64.9, rel. 12
- 2θ 70.9, rel. 30
- 2θ 72.9, rel. 16